(1)
For CuAu2, a crystal structure in OQMD, relaxed with GGA-PBE gives the calculated powder XRD pattern in this record (λ = 1.5418 Å (Cu Kα)).
Intensities are scaled so that the largest is 100.

Most intense lines, 2θ = 10–80°, by intensity:
Position (°2θ), Rel. int.
38.7, 100
39.1, 99
46.0, 51
43.7, 39
65.3, 36
40.3, 19
28.9, 15
67.6, 15
77.3, 14
26.7, 13

Cell and atoms:
a b c (Å): 5.6253 4.1390 8.3114
angles (deg): 90.00 90.00 90.00
Element x y z (fractional)
Cu1 0.1518 0.2500 0.0903
Cu2 0.3482 0.7500 0.5903
Cu3 0.6518 0.2500 0.4097
Cu4 0.8482 0.7500 0.9097
Au1 0.0803 0.2500 0.7687
Au2 0.1514 0.2500 0.4245
Au3 0.3486 0.7500 0.9245
Au4 0.4197 0.7500 0.2687
Au5 0.5803 0.2500 0.7313
Au6 0.6514 0.2500 0.0755
Au7 0.8486 0.7500 0.5755
Au8 0.9197 0.7500 0.2313


(2)
For ScGa2CuIr4, a crystal structure in OQMD, relaxed with GGA-PBE gives the calculated powder XRD pattern in this record (λ = 1.5418 Å (Cu Kα)).
Intensities are scaled so that the largest is 100.

Most intense lines, 2θ = 10–80°, by intensity:
Position (°2θ), Rel. int.
41.6, 100
75.9, 33
29.1, 30
60.3, 11
51.5, 9
68.3, 7
60.2, 5
68.3, 4
14.4, 1
53.8, 1

Cell and atoms:
a b c (Å): 4.3401 4.3401 6.1496
angles (deg): 90.00 90.00 90.00
Element x y z (fractional)
Sc1 0.0000 0.0000 0.0000
Ga1 0.0000 0.0000 0.5000
Ga2 0.5000 0.5000 0.0000
Cu1 0.5000 0.5000 0.5000
Ir1 0.0000 0.5000 0.2622
Ir2 0.0000 0.5000 0.7378
Ir3 0.5000 0.0000 0.2622
Ir4 0.5000 0.0000 0.7378


(3)
For NdPuBC2, a crystal structure in OQMD, relaxed with GGA-PBE gives the calculated powder XRD pattern in this record (λ = 1.5418 Å (Cu Kα)).
Intensities are scaled so that the largest is 100.

Most intense lines, 2θ = 10–80°, by intensity:
Position (°2θ), Rel. int.
33.9, 100
25.3, 66
34.2, 65
25.1, 61
34.6, 61
32.9, 42
48.7, 36
47.9, 29
16.3, 22
55.7, 18

Cell and atoms:
a b c (Å): 3.7390 3.7390 6.0236
angles (deg): 107.51 107.51 89.99
Element x y z (fractional)
Nd1 0.0000 0.0000 0.0000
Pu1 0.7099 0.7099 0.4327
B1 0.3628 0.3628 0.7299
C1 0.2235 0.2235 0.4570
C2 0.5007 0.5007 0.0037


(4)
For Zr3Ni3As4Pd, a crystal structure in OQMD, relaxed with GGA-PBE gives the calculated powder XRD pattern in this record (λ = 1.5418 Å (Cu Kα)).
Intensities are scaled so that the largest is 100.

Most intense lines, 2θ = 10–80°, by intensity:
Position (°2θ), Rel. int.
36.2, 100
38.1, 89
43.1, 74
47.1, 65
38.3, 48
36.1, 47
45.6, 44
48.9, 24
38.5, 22
45.3, 20

Cell and atoms:
a b c (Å): 6.4827 3.8620 7.4894
angles (deg): 90.00 90.61 90.00
Element x y z (fractional)
Zr1 0.0000 0.0000 0.0000
Zr2 0.0581 0.5000 0.3688
Zr3 0.5007 0.0000 0.8653
Ni1 0.1740 0.5000 0.7433
Ni2 0.3816 0.0000 0.2422
Ni3 0.6726 0.5000 0.1280
As1 0.2970 0.5000 0.0621
As2 0.3026 0.0000 0.5551
As3 0.7517 0.0000 0.3013
As4 0.7831 0.5000 0.8112
Pd1 0.9005 0.0000 0.6180


(5)
For ZrH2PbO2F3, a crystal structure in OQMD, relaxed with GGA-PBE gives the calculated powder XRD pattern in this record (λ = 1.5418 Å (Cu Kα)).
Intensities are scaled so that the largest is 100.

Most intense lines, 2θ = 10–80°, by intensity:
Position (°2θ), Rel. int.
19.3, 100
26.4, 46
33.3, 45
27.8, 42
30.3, 40
43.6, 31
42.8, 29
34.3, 28
37.5, 24
31.3, 24

Cell and atoms:
a b c (Å): 5.2415 6.3380 7.1082
angles (deg): 74.00 89.00 70.19
Element x y z (fractional)
Zr1 0.1605 0.3190 0.1566
Zr2 0.8395 0.6810 0.8434
H1 0.2546 0.7436 0.0706
H2 0.2822 0.6292 0.6145
H3 0.7178 0.3708 0.3855
H4 0.7454 0.2564 0.9294
Pb1 0.2039 0.1762 0.6721
Pb2 0.7961 0.8238 0.3279
O1 0.0903 0.6962 0.0787
O2 0.1123 0.5908 0.6201
O3 0.8877 0.4092 0.3799
O4 0.9097 0.3038 0.9213
F1 0.1817 0.9755 0.3045
F2 0.4591 0.2970 0.3664
F3 0.4745 0.2233 0.9740
F4 0.5255 0.7767 0.0260
F5 0.5409 0.7030 0.6337
F6 0.8183 0.0245 0.6955


(6)
For LaAgTe3Pb, a crystal structure in OQMD, relaxed with GGA-PBE gives the calculated powder XRD pattern in this record (λ = 1.5418 Å (Cu Kα)).
Intensities are scaled so that the largest is 100.

Most intense lines, 2θ = 10–80°, by intensity:
Position (°2θ), Rel. int.
32.2, 100
29.1, 77
40.3, 38
25.1, 36
29.4, 34
26.7, 21
36.5, 18
25.6, 18
41.2, 18
33.3, 16

Cell and atoms:
a b c (Å): 8.5495 4.4718 10.7842
angles (deg): 90.00 104.84 90.00
Element x y z (fractional)
La1 0.2013 0.2500 0.1660
La2 0.7987 0.7500 0.8340
Ag1 0.4186 0.7500 0.4145
Ag2 0.5814 0.2500 0.5855
Te1 0.0754 0.2500 0.8552
Te2 0.2228 0.2500 0.4667
Te3 0.4674 0.7500 0.1643
Te4 0.5326 0.2500 0.8357
Te5 0.7772 0.7500 0.5333
Te6 0.9246 0.7500 0.1448
Pb1 0.2467 0.7500 0.7014
Pb2 0.7533 0.2500 0.2986